(1)
Simulated PXRD pattern of KLaPdS4 for Cu Kα X-rays, from a crystal structure in OQMD, relaxed with PBE.

Main lines, low angle first (2θ = 10–80°):
- hkl 0 1 1, 2θ 18.79, d 4.723, I = 100
- hkl 2 0 0, 2θ 24.70, d 3.604, I = 45
- hkl 0 1 2, 2θ 25.65, d 3.473, I = 34
- hkl 1 0 2, 2θ 25.82, d 3.451, I = 43
- hkl 1 1 -2, 2θ 26.48, d 3.366, I = 81
- hkl 2 0 -2, 2θ 28.22, d 3.163, I = 46
- hkl 1 1 2, 2θ 30.46, d 2.935, I = 98
- hkl 0 2 0, 2θ 32.08, d 2.790, I = 52
- hkl 2 1 -2, 2θ 32.54, d 2.751, I = 68
- hkl 1 0 3, 2θ 35.27, d 2.545, I = 36
- hkl 1 0 -4, 2θ 39.77, d 2.267, I = 39
- hkl 2 2 0, 2θ 40.90, d 2.206, I = 67

Crystal structure
a b c (Å): 7.3926 5.5796 9.1014
angles (deg): 90.00 102.85 90.00
Space group P2_1 (No. 4)
Symmetry-distinct sites (fractional):
K (0.2208, 0.0000, 0.4513) x2
La (0.2377, 0.0196, 0.9472) x2
Pd (0.3002, 0.4287, 0.2084) x2
S (0.0516, 0.5132, 0.3140) x2
S (0.1233, 0.5130, 0.9710) x2
S (0.4302, 0.7066, 0.7543) x2
S (0.4915, 0.3287, 0.7824) x2

=====

(2)
Simulated PXRD pattern of SrGaPd for Cu Kα X-rays, from a crystal structure in OQMD, relaxed with PBE.

Main lines, low angle first (2θ = 10–80°):
- hkl 1 1 1, 2θ 22.66, d 3.923, I = 41
- hkl 2 0 0, 2θ 26.23, d 3.398, I = 5
- hkl 2 2 0, 2θ 37.43, d 2.403, I = 100
- hkl 3 1 1, 2θ 44.20, d 2.049, I = 20
- hkl 2 2 2, 2θ 46.28, d 1.962, I = 1
- hkl 4 0 0, 2θ 53.97, d 1.699, I = 17
- hkl 3 3 1, 2θ 59.27, d 1.559, I = 8
- hkl 4 2 0, 2θ 60.97, d 1.520, I = 2
- hkl 4 2 2, 2θ 67.53, d 1.387, I = 34
- hkl 5 1 1, 2θ 72.24, d 1.308, I = 6
- hkl 4 4 0, 2θ 79.84, d 1.201, I = 11

Crystal structure
a b c (Å): 6.7957 6.7957 6.7957
angles (deg): 90.00 90.00 90.00
Space group F-43m (No. 216)
Symmetry-distinct sites (fractional):
Sr (0.0000, 0.0000, 0.0000) x4
Ga (0.0000, 0.0000, 0.5000) x4
Pd (0.2500, 0.2500, 0.7500) x4

=====

(3)
Simulated PXRD pattern of Cs2ZrAu2S4 for Cu Kα X-rays, from a crystal structure in OQMD, relaxed with PBE.

Main lines, low angle first (2θ = 10–80°):
- hkl 0 2 0, 2θ 12.55, d 7.053, I = 31
- hkl 1 1 1, 2θ 21.51, d 4.132, I = 63
- hkl 0 4 0, 2θ 25.26, d 3.526, I = 36
- hkl 1 3 1, 2θ 28.04, d 3.182, I = 67
- hkl 2 2 0, 2θ 31.92, d 2.804, I = 100
- hkl 1 5 1, 2θ 38.09, d 2.362, I = 21
- hkl 2 0 2, 2θ 41.81, d 2.161, I = 37
- hkl 3 1 1, 2θ 47.49, d 1.915, I = 18
- hkl 2 6 0, 2θ 48.88, d 1.863, I = 43
- hkl 2 4 2, 2θ 49.47, d 1.842, I = 25
- hkl 3 3 1, 2θ 51.10, d 1.787, I = 24
- hkl 4 2 2, 2θ 70.15, d 1.342, I = 21

Crystal structure
a b c (Å): 6.1160 14.1056 6.1065
angles (deg): 90.00 90.00 90.00
Space group C222 (No. 21)
Symmetry-distinct sites (fractional):
Cs (0.2500, 0.2500, 0.2365) x4
Zr (0.0000, 0.0000, 0.5000) x2
Au (0.0000, 0.0000, 0.0000) x2
Au (0.0000, 0.5000, 0.5000) x2
S (0.2309, 0.1010, 0.7303) x8

=====

(4)
Simulated PXRD pattern of Cs2PtCl6 for Cu Kα X-rays, from a crystal structure in OQMD, relaxed with PBE.

Main lines, low angle first (2θ = 10–80°):
- hkl 1 0 1, 2θ 14.77, d 5.997, I = 100
- hkl 1 1 2, 2θ 24.20, d 3.678, I = 92
- hkl 2 0 0, 2θ 24.32, d 3.660, I = 46
- hkl 1 2 1, 2θ 28.57, d 3.124, I = 28
- hkl 2 0 2, 2θ 29.80, d 2.998, I = 29
- hkl 0 0 4, 2θ 34.31, d 2.614, I = 27
- hkl 2 2 0, 2θ 34.66, d 2.588, I = 53
- hkl 2 0 4, 2θ 42.50, d 2.127, I = 20
- hkl 1 3 2, 2θ 42.72, d 2.117, I = 40
- hkl 2 2 4, 2θ 49.57, d 1.839, I = 35
- hkl 4 0 0, 2θ 49.83, d 1.830, I = 17
- hkl 2 4 0, 2θ 56.17, d 1.638, I = 21

Crystal structure
a b c (Å): 7.3201 7.3201 10.4558
angles (deg): 90.00 90.00 90.00
Space group I4/m (No. 87)
Symmetry-distinct sites (fractional):
Cs (0.0000, 0.5000, 0.2500) x4
Pt (0.0000, 0.0000, 0.0000) x2
Cl (0.0000, 0.0000, 0.2253) x4
Cl (0.2200, 0.2347, 0.0000) x8